Record 1
Calculated powder diffraction line list of LiNi2O3 for Cu Kα, from a cell relaxed with PBE+U.
Neutral-atom scattering factors, no anomalous dispersion.

Structure:
abc: 5.077 5.094 9.705
angles: 80.00 85.50 60.27
Space group P-1 (No. 2)
Unique sites:
Li 0.011 0.246 0.247 x2
Li 0.328 0.587 0.247 x2
Ni 0.000 0.000 0.000 x1
Ni 0.000 0.500 0.500 x1
Ni 0.331 0.084 0.751 x2
Ni 0.334 0.333 0.000 x2
Ni 0.334 0.833 0.499 x2
O 0.004 0.344 0.884 x2
O 0.006 0.151 0.613 x2
O 0.306 0.734 0.883 x2
O 0.312 0.461 0.616 x2
O 0.342 0.955 0.127 x2
O 0.343 0.198 0.376 x2

Largest 10 diffraction maxima, low angle first, 10° ≤ 2θ ≤ 90°:
index, 2theta, d_spacing, I_rel
0 0 2, 18.57, 4.779, 100.0
0 1 0, 20.37, 4.360, 30.0
1 -1 1, 37.49, 2.399, 92.0
0 0 4, 37.65, 2.389, 30.3
-1 1 3, 43.37, 2.086, 85.9
1 2 -2, 43.57, 2.077, 83.8
2 1 3, 43.88, 2.063, 84.7
3 0 0, 63.27, 1.470, 47.2
1 2 6, 63.48, 1.465, 46.9
2 4 4, 79.98, 1.200, 33.0

***

Record 2
Calculated powder diffraction line list of LiNi9O13 for Cu Kα, from a cell relaxed with PBE+U.
Neutral-atom scattering factors, no anomalous dispersion.

Structure:
abc: 2.944 5.112 15.548
angles: 88.01 86.61 80.38
Space group P1 (No. 1)
Unique sites:
Li 0.000 0.000 0.000 x1
Ni 0.000 0.168 0.477 x1
Ni 0.178 0.022 0.153 x1
Ni 0.235 0.395 0.848 x1
Ni 0.328 0.617 0.384 x1
Ni 0.403 0.212 0.648 x1
Ni 0.617 0.084 0.315 x1
Ni 0.648 0.511 0.014 x1
Ni 0.710 0.697 0.558 x1
Ni 0.816 0.910 0.836 x1
O 0.032 0.983 0.592 x1
O 0.126 0.676 0.934 x1
O 0.178 0.294 0.060 x1
O 0.228 0.853 0.280 x1
O 0.318 0.097 0.774 x1
O 0.343 0.455 0.507 x1
O 0.614 0.213 0.203 x1
O 0.623 0.910 0.433 x1
O 0.713 0.833 0.097 x1
O 0.731 0.222 0.910 x1
O 0.742 0.580 0.790 x1
O 0.816 0.465 0.660 x1
O 0.947 0.345 0.361 x1

Largest 10 diffraction maxima, low angle first, 10° ≤ 2θ ≤ 90°:
index, 2theta, d_spacing, I_rel
0 0 2, 11.41, 7.758, 85.4
0 1 2, 20.78, 4.275, 62.6
0 0 4, 22.93, 3.879, 66.8
0 1 5, 33.53, 2.672, 74.9
1 0 3, 34.67, 2.588, 92.9
1 1 -2, 35.74, 2.512, 74.1
0 2 -1, 36.28, 2.476, 84.2
0 1 -6, 39.57, 2.277, 84.2
-1 1 2, 40.46, 2.229, 100.0
1 2 3, 46.06, 1.970, 80.5

***

Record 3
Calculated powder diffraction line list of Li4Ni5O10 for Cu Kα, from a cell relaxed with PBE+U.
Neutral-atom scattering factors, no anomalous dispersion.

Structure:
abc: 6.520 7.462 7.627
angles: 85.00 89.84 64.81
Space group P-1 (No. 2)
Unique sites:
Li 0.097 0.081 0.096 x2
Li 0.241 0.006 0.749 x2
Li 0.305 0.292 0.300 x2
Li 0.395 0.904 0.397 x2
Ni 0.000 0.500 0.000 x1
Ni 0.048 0.800 0.548 x2
Ni 0.145 0.399 0.654 x2
Ni 0.352 0.601 0.850 x2
Ni 0.455 0.198 0.951 x2
Ni 0.500 0.500 0.500 x1
O 0.028 0.647 0.760 x2
O 0.070 0.962 0.351 x2
O 0.152 0.260 0.876 x2
O 0.172 0.549 0.451 x2
O 0.244 0.167 0.529 x2
O 0.258 0.834 0.964 x2
O 0.332 0.439 0.054 x2
O 0.353 0.741 0.628 x2
O 0.426 0.046 0.150 x2
O 0.459 0.356 0.742 x2

Largest 10 diffraction maxima, low angle first, 10° ≤ 2θ ≤ 90°:
index, 2theta, d_spacing, I_rel
0 1 0, 13.17, 6.721, 48.4
1 0 -1, 18.72, 4.741, 100.0
0 0 2, 23.43, 3.796, 16.6
1 2 -1, 27.83, 3.206, 10.6
2 1 2, 36.25, 2.478, 10.1
3 1 1, 43.90, 2.062, 40.6
0 3 2, 44.99, 2.015, 35.5
1 2 -3, 45.11, 2.010, 35.4
4 3 -2, 64.50, 1.445, 19.5
3 4 3, 64.67, 1.441, 19.8

***

Record 4
Calculated powder diffraction line list of LiNiO2 for Cu Kα, from a cell relaxed with PBE+U.
Neutral-atom scattering factors, no anomalous dispersion.

Structure:
abc: 5.764 5.736 8.275
angles: 90.00 90.17 90.00
Space group P2 (No. 3)
Unique sites:
Li 0.000 0.000 0.000 x1
Li 0.000 0.000 0.500 x1
Li 0.250 0.248 0.252 x2
Li 0.251 0.749 0.252 x2
Li 0.500 0.498 0.000 x1
Li 0.500 0.498 0.500 x1
Ni 0.000 0.499 0.500 x1
Ni 0.000 0.500 0.000 x1
Ni 0.250 0.248 0.750 x2
Ni 0.250 0.749 0.750 x2
Ni 0.500 0.998 0.000 x1
Ni 0.500 0.998 0.500 x1
O 0.009 0.522 0.755 x2
O 0.030 0.997 0.750 x2
O 0.244 0.744 0.523 x2
O 0.245 0.254 0.514 x2
O 0.253 0.245 0.987 x2
O 0.253 0.752 0.979 x2
O 0.470 0.500 0.750 x2
O 0.490 0.975 0.748 x2

Largest 10 diffraction maxima, low angle first, 10° ≤ 2θ ≤ 90°:
index, 2theta, d_spacing, I_rel
1 0 -1, 18.76, 4.730, 100.0
1 1 0, 21.86, 4.066, 53.5
1 1 -2, 30.83, 2.900, 44.6
1 2 -1, 36.64, 2.452, 27.4
2 0 2, 38.16, 2.359, 30.6
0 0 4, 43.76, 2.069, 45.6
2 2 0, 44.57, 2.033, 86.9
2 2 -4, 64.16, 1.452, 24.1
2 2 4, 64.32, 1.448, 24.2
0 4 0, 65.04, 1.434, 11.8

***

Record 5
Calculated powder diffraction line list of Li2NiO3 for Cu Kα, from a cell relaxed with PBE+U.
Neutral-atom scattering factors, no anomalous dispersion.

Structure:
abc: 4.899 8.478 5.004
angles: 90.00 109.14 90.00
Space group C2/m (No. 12)
Unique sites:
Li 0.000 0.000 0.000 x2
Li 0.000 0.162 0.500 x4
Li 0.000 0.500 0.500 x2
Ni 0.000 0.333 0.000 x4
O 0.217 0.500 0.224 x4
O 0.247 0.321 0.779 x8

Largest 10 diffraction maxima, low angle first, 10° ≤ 2θ ≤ 90°:
index, 2theta, d_spacing, I_rel
0 0 1, 18.77, 4.727, 100.0
0 2 0, 20.96, 4.239, 19.1
1 1 0, 21.88, 4.062, 33.0
1 1 -1, 24.44, 3.643, 23.7
0 2 1, 28.28, 3.156, 15.1
2 0 -1, 37.27, 2.413, 35.1
1 3 1, 45.00, 2.015, 87.5
2 0 2, 64.95, 1.436, 23.1
3 3 -1, 66.10, 1.414, 22.6
3 3 0, 69.39, 1.354, 13.3

***

Record 6
Calculated powder diffraction line list of Li7Ni13O24 for Cu Kα, from a cell relaxed with PBE+U.
Neutral-atom scattering factors, no anomalous dispersion.

Structure:
abc: 12.517 8.646 9.696
angles: 90.00 129.44 90.00
Space group C2/m (No. 12)
Unique sites:
Li 0.000 0.000 0.000 x2
Li 0.000 0.164 0.500 x4
Li 0.000 0.325 0.000 x4
Li 0.249 0.500 0.253 x4
Ni 0.000 0.500 0.500 x2
Ni 0.124 0.000 0.369 x4
Ni 0.125 0.334 0.373 x8
Ni 0.125 0.500 0.871 x4
Ni 0.130 0.164 0.876 x8
O 0.050 0.164 0.196 x8
O 0.050 0.500 0.182 x4
O 0.054 0.342 0.694 x8
O 0.072 0.000 0.701 x4
O 0.176 0.500 0.534 x4
O 0.187 0.343 0.039 x8
O 0.192 0.155 0.547 x8
O 0.197 0.000 0.058 x4

Largest 10 diffraction maxima, low angle first, 10° ≤ 2θ ≤ 90°:
index, 2theta, d_spacing, I_rel
2 0 -2, 18.60, 4.771, 100.0
1 3 1, 36.67, 2.451, 26.1
4 0 0, 37.20, 2.417, 11.5
3 3 -1, 38.39, 2.345, 13.3
1 3 -3, 44.27, 2.046, 51.9
6 0 -2, 44.96, 2.016, 24.2
0 0 4, 48.62, 1.873, 11.8
3 3 -5, 58.30, 1.583, 9.7
7 3 -5, 64.29, 1.449, 13.2
5 3 1, 65.58, 1.424, 13.4

***

Record 7
Calculated powder diffraction line list of LiNiO2 for Cu Kα, from a cell relaxed with PBE+U.
Neutral-atom scattering factors, no anomalous dispersion.

Structure:
abc: 4.980 8.755 5.059
angles: 90.00 108.32 90.00
Space group C2/m (No. 12)
Unique sites:
Li 0.000 0.000 0.000 x2
Li 0.000 0.334 0.000 x4
Ni 0.000 0.167 0.500 x4
Ni 0.000 0.500 0.500 x2
O 0.230 0.000 0.731 x4
O 0.244 0.173 0.277 x8

Largest 10 diffraction maxima, low angle first, 10° ≤ 2θ ≤ 90°:
index, 2theta, d_spacing, I_rel
0 0 1, 18.47, 4.802, 100.0
1 3 0, 36.17, 2.483, 29.9
2 0 -1, 36.72, 2.447, 12.8
1 3 -1, 37.94, 2.371, 10.8
1 3 1, 43.71, 2.071, 49.3
2 0 -2, 44.54, 2.034, 22.7
1 3 -2, 48.17, 1.889, 9.5
1 3 2, 57.63, 1.600, 11.8
0 6 0, 63.77, 1.459, 19.7
3 3 -1, 64.60, 1.443, 12.8

***

What did the fourth record say?
Calculated powder diffraction line list of LiNiO2 for Cu Kα, from a cell relaxed with PBE+U.
Neutral-atom scattering factors, no anomalous dispersion.

Structure:
abc: 5.764 5.736 8.275
angles: 90.00 90.17 90.00
Space group P2 (No. 3)
Unique sites:
Li 0.000 0.000 0.000 x1
Li 0.000 0.000 0.500 x1
Li 0.250 0.248 0.252 x2
Li 0.251 0.749 0.252 x2
Li 0.500 0.498 0.000 x1
Li 0.500 0.498 0.500 x1
Ni 0.000 0.499 0.500 x1
Ni 0.000 0.500 0.000 x1
Ni 0.250 0.248 0.750 x2
Ni 0.250 0.749 0.750 x2
Ni 0.500 0.998 0.000 x1
Ni 0.500 0.998 0.500 x1
O 0.009 0.522 0.755 x2
O 0.030 0.997 0.750 x2
O 0.244 0.744 0.523 x2
O 0.245 0.254 0.514 x2
O 0.253 0.245 0.987 x2
O 0.253 0.752 0.979 x2
O 0.470 0.500 0.750 x2
O 0.490 0.975 0.748 x2

Largest 10 diffraction maxima, low angle first, 10° ≤ 2θ ≤ 90°:
index, 2theta, d_spacing, I_rel
1 0 -1, 18.76, 4.730, 100.0
1 1 0, 21.86, 4.066, 53.5
1 1 -2, 30.83, 2.900, 44.6
1 2 -1, 36.64, 2.452, 27.4
2 0 2, 38.16, 2.359, 30.6
0 0 4, 43.76, 2.069, 45.6
2 2 0, 44.57, 2.033, 86.9
2 2 -4, 64.16, 1.452, 24.1
2 2 4, 64.32, 1.448, 24.2
0 4 0, 65.04, 1.434, 11.8